Simulated powder X-ray diffraction pattern of CeEr3Ir2 for Cu Kα (weighted mean of Kα1 and Kα2), from a structure optimized by DFT (PBE).

Peak list (8 most intense, 10 to 80 degrees two-theta, sorted by position)
| 2θ/deg | d (Å) | intensity | index |
| --- | --- | --- | --- |
| 22.49 | 3.953 | 94 | 1 2 1 |
| 29.49 | 3.029 | 23 | 1 1 2 |
| 35.07 | 2.559 | 32 | 1 3 2 |
| 36.95 | 2.433 | 100 | 0 4 2 |
| 37.54 | 2.396 | 90 | 2 4 0 |
| 39.32 | 2.291 | 19 | 2 2 2 |
| 52.36 | 1.747 | 18 | 0 0 4 |
| 66.19 | 1.412 | 34 | 2 4 4 |

Structural model:
```
data_CeEr3Ir2
_chemical_formula_sum 'Ce4 Er12 Ir8'
_space_group_name_H-M_alt 'I b a m'
_space_group_IT_number 72
_space_group_name_Hall '-I 2 2c'
_cell_length_a 6.7914
_cell_length_b 13.5268
_cell_length_c 6.9897
_cell_angle_alpha 90.00
_cell_angle_beta 90.00
_cell_angle_gamma 90.00
loop_
_atom_site_label
_atom_site_type_symbol
_atom_site_fract_x
_atom_site_fract_y
_atom_site_fract_z
_atom_site_occupancy
Ce1 Ce 0.0000 0.0000 0.0000 1
Er1 Er 0.0000 0.2440 0.2500 1
Er2 Er 0.0000 0.5000 0.2500 1
Ir1 Ir 0.2286 0.3673 0.0000 1
```

***

Simulated powder X-ray diffraction pattern of K3Ce3ErS8 for Cu Kα (weighted mean of Kα1 and Kα2), from a structure optimized by DFT (PBE).

Peak list (8 most intense, 10 to 80 degrees two-theta, sorted by position)
| 2θ/deg | d (Å) | intensity | index |
| --- | --- | --- | --- |
| 11.90 | 7.439 | 93 | 0 0 3 |
| 25.21 | 3.533 | 30 | 0 2 1 |
| 26.15 | 3.407 | 29 | 2 0 2 |
| 29.66 | 3.012 | 100 | 0 2 4 |
| 37.79 | 2.380 | 24 | 0 2 7 |
| 41.03 | 2.200 | 34 | 2 0 8 |
| 43.82 | 2.066 | 35 | 2 2 0 |
| 45.57 | 1.990 | 20 | 2 2 3 |

Structural model:
```
data_K3Ce3ErS8
_chemical_formula_sum 'K9 Ce9 Er3 S24'
_space_group_name_H-M_alt 'R -3 m'
_space_group_IT_number 166
_space_group_name_Hall '-R 3 2"'
_cell_length_a 8.2633
_cell_length_b 8.2633
_cell_length_c 22.3164
_cell_angle_alpha 90.00
_cell_angle_beta 90.00
_cell_angle_gamma 120.00
loop_
_atom_site_label
_atom_site_type_symbol
_atom_site_fract_x
_atom_site_fract_y
_atom_site_fract_z
_atom_site_occupancy
K1 K 0.0000 0.5000 0.0000 1
Ce1 Ce 0.0000 0.5000 0.5000 1
Er1 Er 0.0000 0.0000 0.5000 1
S1 S 0.0000 0.0000 0.2349 1
S2 S 0.0073 0.5037 0.2317 1
```

***

Simulated powder X-ray diffraction pattern of La8CeEr5 for Cu Kα (weighted mean of Kα1 and Kα2), from a structure optimized by DFT (PBE).

Peak list (8 most intense, 10 to 80 degrees two-theta, sorted by position)
| 2θ/deg | d (Å) | intensity | index |
| --- | --- | --- | --- |
| 26.88 | 3.317 | 55 | 1 3 0 |
| 29.68 | 3.010 | 68 | 4 0 -1 |
| 30.16 | 2.963 | 100 | 0 2 2 |
| 30.38 | 2.942 | 82 | 3 1 -3 |
| 32.65 | 2.743 | 62 | 1 1 2 |
| 33.29 | 2.691 | 98 | 3 3 -1 |
| 52.66 | 1.738 | 29 | 3 5 -3 |
| 57.79 | 1.595 | 24 | 3 3 -5 |

Structural model:
```
data_La8CeEr5
_chemical_formula_sum 'La16 Ce2 Er10'
_space_group_name_H-M_alt 'C 1 2 1'
_space_group_IT_number 5
_cell_length_a 12.8354
_cell_length_b 10.5550
_cell_length_c 9.2486
_cell_angle_alpha 90.00
_cell_angle_beta 129.25
_cell_angle_gamma 90.00
loop_
_space_group_symop_operation_xyz
'x,y,z'
'-x,y,-z'
'x+1/2,y+1/2,z'
'-x+1/2,y+1/2,-z'
loop_
_atom_site_label
_atom_site_type_symbol
_atom_site_fract_x
_atom_site_fract_y
_atom_site_fract_z
_atom_site_occupancy
La1 La 0.0514 0.0000 0.2215 1
La2 La 0.1290 0.6743 0.4479 1
La3 La 0.2012 0.3689 0.7420 1
La4 La 0.2100 0.9806 0.7582 1
Ce1 Ce 0.0000 0.1680 0.5000 1
Er1 Er 0.0000 0.6664 0.0000 1
Er2 Er 0.0472 0.3494 0.2188 1
Er3 Er 0.2457 0.1768 0.0868 1
```

***

Simulated powder X-ray diffraction pattern of La9CeEr4 for Cu Kα (weighted mean of Kα1 and Kα2), from a structure optimized by DFT (PBE).

Peak list (8 most intense, 10 to 80 degrees two-theta, sorted by position)
| 2θ/deg | d (Å) | intensity | index |
| --- | --- | --- | --- |
| 31.44 | 2.846 | 100 | 2 1 2 |
| 31.70 | 2.822 | 36 | 3 0 1 |
| 31.96 | 2.800 | 18 | 0 0 4 |
| 44.51 | 2.035 | 10 | 3 1 3 |
| 51.43 | 1.777 | 21 | 3 0 5 |
| 54.50 | 1.684 | 14 | 3 3 0 |
| 54.98 | 1.670 | 14 | 5 0 2 |
| 64.59 | 1.443 | 10 | 3 3 4 |

Structural model:
```
data_La9CeEr4
_chemical_formula_sum 'La18 Ce2 Er8'
_space_group_name_H-M_alt 'P 63/m m c'
_space_group_IT_number 194
_space_group_name_Hall '-P 6c 2c'
_cell_length_a 10.1024
_cell_length_b 10.1024
_cell_length_c 11.2019
_cell_angle_alpha 90.00
_cell_angle_beta 90.00
_cell_angle_gamma 120.00
loop_
_atom_site_label
_atom_site_type_symbol
_atom_site_fract_x
_atom_site_fract_y
_atom_site_fract_z
_atom_site_occupancy
La1 La 0.0698 0.5349 0.2500 1
La2 La 0.2096 0.4192 0.5440 1
Ce1 Ce 0.3333 0.6667 0.7500 1
Er1 Er 0.0000 0.0000 0.0000 1
Er2 Er 0.1090 0.2180 0.2500 1
```